Diffraction record for Th2Ga3Ge. The PXRD pattern is calculated, not measured: it uses a crystal structure in Alexandria, relaxed with GGA-PBE and copper Kα.
Kinematic intensities with the Lorentz-polarization factor, no thermal factor.

Principal peaks in the range 2θ = 10–90°, in order of falling intensity:
d (Å)  intensity
2.784  100
2.153  38
3.728  26
1.500  24
1.703  24
1.336  14
2.093  12
1.307  10
1.825  8
1.334  7

Crystal structure
a = 8.370 Å, b = 8.620 Å, c = 14.897 Å
α = 90.00°, β = 90.00°, γ = 90.00°
Space group Fmmm (No. 69)
Unique sites:
Th1 0.247 0.000 0.000 (multiplicity 8)
Th2 0.250 0.250 0.250 (multiplicity 8)
Ga1 0.000 0.000 0.334 (multiplicity 8)
Ga2 0.000 0.247 0.417 (multiplicity 16)
Ge1 0.000 0.000 0.167 (multiplicity 8)

Diffraction record for NbCr3Cu2S8. The PXRD pattern is calculated, not measured: it uses a crystal structure in Alexandria, relaxed with GGA-PBE and copper Kα.
Kinematic intensities with the Lorentz-polarization factor, no thermal factor.

Principal peaks in the range 2θ = 10–90°, in order of falling intensity:
d (Å)  intensity
2.057  100
2.630  89
2.116  87
2.991  82
5.901  81
1.711  78
2.133  65
5.820  56
2.693  52
2.016  45

Crystal structure
a = 5.829 Å, b = 6.941 Å, c = 5.911 Å
α = 90.00°, β = 93.22°, γ = 90.00°
Space group P2/m (No. 10)
Unique sites:
Nb1 0.000 0.000 0.000 (multiplicity 1)
Cr1 0.000 0.248 0.500 (multiplicity 2)
Cr2 0.000 0.500 0.000 (multiplicity 1)
Cu1 0.500 0.000 0.000 (multiplicity 1)
Cu2 0.500 0.500 0.000 (multiplicity 1)
S1 0.221 0.500 0.677 (multiplicity 2)
S2 0.243 0.000 0.668 (multiplicity 2)
S3 0.248 0.257 0.182 (multiplicity 4)